Gd3Si2S8Br: computed powder XRD pattern (Cu Kα, 1.54184 Å), based on a DFT-relaxed cell (PBE, the Materials Project).
Peak positions follow from Bragg's law for the DFT cell and can differ from measured ones.

The 10 most intense peaks (5° ≤ 2θ ≤ 70°), low angle first:
2θ (°), Rel. int., (hkl)
16.54, 100, 0 0 2
23.41, 68, 3 1 1
24.88, 93, 0 2 1
26.04, 60, 4 0 -2
33.10, 93, 4 2 -1
34.82, 51, 3 1 3
35.09, 55, 1 1 -4
37.54, 40, 4 0 -4
39.35, 70, 4 2 -3
41.15, 56, 6 0 2

Structural model:
```
data_Gd3Si2S8Br
_symmetry_space_group_name_H-M 'C 1 2/c 1'
_symmetry_Int_Tables_number 15
_cell_length_a 15.7517
_cell_length_b 7.5915
_cell_length_c 10.8620
_cell_angle_alpha 90.00
_cell_angle_beta 99.40
_cell_angle_gamma 90.00
loop_
_symmetry_equiv_pos_as_xyz
'x,y,z'
'-x,-y,-z'
'-x,y,-z+1/2'
'x,-y,z+1/2'
'x+1/2,y+1/2,z'
'-x+1/2,-y+1/2,-z'
'-x+1/2,y+1/2,-z+1/2'
'x+1/2,-y+1/2,z+1/2'
loop_
_atom_site_label
_atom_site_fract_x
_atom_site_fract_y
_atom_site_fract_z
_atom_site_occupancy
Gd1 0.0000 0.1290 0.2500 1
Gd2 0.1991 0.3760 0.6806 1
Si1 0.1573 0.0367 0.0240 1
S1 0.0668 0.1670 0.5351 1
S2 0.1421 0.2557 0.1407 1
S3 0.1450 0.0950 0.8303 1
S4 0.2170 0.4337 0.4129 1
Br1 0.0000 0.4861 0.7500 1
```